This entry pairs a crystal structure of MgV4O2F12 with its calculated powder X-ray diffraction pattern. Radiation: Cu Ka. Structure: a cell relaxed with GGA+U.
Peak positions follow from Bragg's law for the DFT cell and can differ from measured ones.

Main lines, low angle first (10° ≤ 2θ ≤ 80°):
d_spacing	intensity	(hkl)
6.253	100	0 1 0
5.964	80	0 1 1
4.079	40	1 1 0
3.994	24	0 1 2
3.953	47	0 0 2
3.508	42	1 0 2
3.437	25	1 -1 1
2.231	46	-2 1 1
2.106	42	1 3 1
1.987	45	1 0 4

Cell and atoms:
abc: 5.3451 6.6761 8.6146
angles: 69.61 76.73 83.31
Fractional positions:
Mg 0.0000 0.0000 0.0000
V 0.2582 0.1942 0.2036
V 0.3563 0.9724 0.6733
V 0.7784 0.4430 0.0714
V 0.8702 0.2425 0.5335
O 0.0321 0.1002 0.7211
O 0.9174 0.2873 0.3037
F 0.1261 0.3001 0.9844
F 0.1512 0.9318 0.2063
F 0.3031 0.7120 0.6931
F 0.3125 0.0936 0.4411
F 0.3698 0.9326 0.8972
F 0.4047 0.4641 0.1767
F 0.5153 0.2742 0.6169
F 0.6556 0.1395 0.1071
F 0.7080 0.5181 0.8615
F 0.7294 0.9491 0.5882
F 0.8726 0.7201 0.0554
F 0.9673 0.5018 0.5065